This entry pairs a crystal structure of Zr2Be6Ni21 with its theoretical powder diffraction line list. Radiation: Cu Kα (λ = 1.5418 Å). Structure: a cell relaxed with GGA-PBE.
Peak positions follow from Bragg's law for the DFT cell and can differ from measured ones.

Structure:
Cell: 7.6362 7.6362 7.6362 Å, 60.00 60.00 60.00°
Positions (direct):
Zr1 0.2500 0.2500 0.2500
Zr2 0.7500 0.7500 0.7500
Be1 0.2302 0.2302 0.7698
Be2 0.2302 0.7698 0.2302
Be3 0.2302 0.7698 0.7698
Be4 0.7698 0.2302 0.2302
Be5 0.7698 0.2302 0.7698
Be6 0.7698 0.7698 0.2302
Ni1 0.1165 0.1165 0.1165
Ni2 0.1165 0.1165 0.6505
Ni3 0.1165 0.6505 0.1165
Ni4 0.1576 0.5000 0.5000
Ni5 0.1576 0.5000 0.8424
Ni6 0.1576 0.8424 0.5000
Ni7 0.3495 0.8835 0.8835
Ni8 0.5000 0.1576 0.5000
Ni9 0.5000 0.1576 0.8424
Ni10 0.5000 0.5000 0.1576
Ni11 0.5000 0.5000 0.5000
Ni12 0.5000 0.5000 0.8424
Ni13 0.5000 0.8424 0.1576
Ni14 0.5000 0.8424 0.5000
Ni15 0.6505 0.1165 0.1165
Ni16 0.8424 0.1576 0.5000
Ni17 0.8424 0.5000 0.1576
Ni18 0.8424 0.5000 0.5000
Ni19 0.8835 0.3495 0.8835
Ni20 0.8835 0.8835 0.3495
Ni21 0.8835 0.8835 0.8835

Largest 8 diffraction maxima, low angle first, 10° ≤ 2θ ≤ 90°:
| two_theta | Rel. int. |
| --- | --- |
| 37.24 | 35 |
| 40.94 | 38 |
| 43.55 | 100 |
| 47.64 | 25 |
| 49.96 | 27 |
| 74.56 | 26 |
| 76.37 | 12 |
| 88.77 | 17 |